# 1
Th3Pt5: theoretical powder X-ray diffraction pattern (λ = 1.5418 Å (Cu Kα)), based on a cell relaxed with GGA-PBE.
Lines closer than 0.1° are merged.

Atomic structure:
```
data_Th3Pt5
_cell_length_a 7.2486
_cell_length_b 7.2486
_cell_length_c 3.9107
_cell_angle_alpha 90.00
_cell_angle_beta 90.00
_cell_angle_gamma 120.00
_symmetry_space_group_name_H-M 'P -6 2 m'
_symmetry_Int_Tables_number 189
_symmetry_space_group_name_Hall 'P -6 -2'
loop_
_atom_site_label
_atom_site_fract_x
_atom_site_fract_y
_atom_site_fract_z
_atom_site_occupancy
Th1 0.0000 0.6415 0.0000 1
Pt1 0.0000 0.2288 0.5000 1
Pt2 0.3333 0.6667 0.5000 1
```

Main lines, sorted by position (15° ≤ 2θ ≤ 90°):
| 2θ/deg | d_spacing | Rel. int. |
| --- | --- | --- |
| 33.7 | 2.658 | 100 |
| 36.7 | 2.448 | 18 |
| 37.9 | 2.373 | 32 |
| 43.2 | 2.092 | 25 |
| 44.7 | 2.029 | 22 |
| 73.2 | 1.293 | 22 |

---

# 2
Ca3Pm2Pt4: theoretical powder X-ray diffraction pattern (λ = 1.5418 Å (Cu Kα)), based on a cell relaxed with GGA-PBE.
Lines closer than 0.1° are merged.

Atomic structure:
```
data_Ca3Pm2Pt4
_cell_length_a 7.8734
_cell_length_b 7.8444
_cell_length_c 7.4209
_cell_angle_alpha 90.00
_cell_angle_beta 108.88
_cell_angle_gamma 90.00
_symmetry_space_group_name_H-M 'P 1 21/c 1'
_symmetry_Int_Tables_number 14
_symmetry_space_group_name_Hall '-P 2ybc'
loop_
_atom_site_label
_atom_site_fract_x
_atom_site_fract_y
_atom_site_fract_z
_atom_site_occupancy
Ca1 0.0000 0.0000 0.0000 1
Ca2 0.2494 0.1777 0.7561 1
Pm1 0.3119 0.6834 0.9352 1
Pt1 0.0318 0.6333 0.1297 1
Pt2 0.4278 0.0266 0.1566 1
```

Main lines, sorted by position (15° ≤ 2θ ≤ 90°):
| 2θ/deg | d_spacing | Rel. int. |
| --- | --- | --- |
| 23.0 | 3.865 | 55 |
| 32.6 | 2.743 | 77 |
| 33.5 | 2.674 | 100 |
| 36.7 | 2.450 | 55 |
| 36.9 | 2.433 | 61 |
| 38.1 | 2.359 | 54 |

---

Please write out number 2 again, unchanged.
Ca3Pm2Pt4: theoretical powder X-ray diffraction pattern (λ = 1.5418 Å (Cu Kα)), based on a cell relaxed with GGA-PBE.
Lines closer than 0.1° are merged.

Atomic structure:
```
data_Ca3Pm2Pt4
_cell_length_a 7.8734
_cell_length_b 7.8444
_cell_length_c 7.4209
_cell_angle_alpha 90.00
_cell_angle_beta 108.88
_cell_angle_gamma 90.00
_symmetry_space_group_name_H-M 'P 1 21/c 1'
_symmetry_Int_Tables_number 14
_symmetry_space_group_name_Hall '-P 2ybc'
loop_
_atom_site_label
_atom_site_fract_x
_atom_site_fract_y
_atom_site_fract_z
_atom_site_occupancy
Ca1 0.0000 0.0000 0.0000 1
Ca2 0.2494 0.1777 0.7561 1
Pm1 0.3119 0.6834 0.9352 1
Pt1 0.0318 0.6333 0.1297 1
Pt2 0.4278 0.0266 0.1566 1
```

Main lines, sorted by position (15° ≤ 2θ ≤ 90°):
| 2θ/deg | d_spacing | Rel. int. |
| --- | --- | --- |
| 23.0 | 3.865 | 55 |
| 32.6 | 2.743 | 77 |
| 33.5 | 2.674 | 100 |
| 36.7 | 2.450 | 55 |
| 36.9 | 2.433 | 61 |
| 38.1 | 2.359 | 54 |